The following is a simulated powder X-ray diffraction pattern of Li2CrP2O8. It was derived from the GGA+U geometry in the Materials Project, using Cu Ka.
Peak positions follow from Bragg's law for the DFT cell and can differ from measured ones.

Most intense lines, 5 to 70 degrees two-theta, in order of rising 2θ:
hkl 0 1 1, 2θ 16.9, d 5.233, I 100.0; hkl 1 0 1, 2θ 23.6, d 3.765, I 26.1; hkl 1 1 -1, 2θ 23.9, d 3.717, I 84.1; hkl 0 2 1, 2θ 24.7, d 3.604, I 51.6; hkl 1 1 1, 2θ 25.8, d 3.450, I 69.7; hkl 1 2 -1, 2θ 30.0, d 2.977, I 28.1; hkl 1 2 1, 2θ 31.6, d 2.834, I 20.8; hkl 1 1 -2, 2θ 33.0, d 2.715, I 26.2; hkl 0 2 2, 2θ 34.3, d 2.616, I 56.4; hkl 1 3 0, 2θ 36.3, d 2.477, I 45.8; hkl 2 1 0, 2θ 38.2, d 2.356, I 25.6; hkl 1 2 2, 2θ 40.3, d 2.239, I 15.9

Atomic structure:
Unit cell a=4.920 b=8.612 c=6.617 alpha=90.00 beta=95.38 gamma=90.00
Space group P2_1 (No. 4)
Asymmetric unit:
1 Li 0.242 0.000 0.060
2 Li 0.252 0.357 0.742
3 Cr 0.255 0.356 0.257
4 P 0.218 0.038 0.524
5 P 0.281 0.679 0.980
6 O 0.030 0.218 0.063
7 O 0.077 0.989 0.714
8 O 0.085 0.967 0.326
9 O 0.199 0.218 0.497
10 O 0.317 0.500 0.018
11 O 0.397 0.774 0.162
12 O 0.436 0.715 0.792
13 O 0.478 0.489 0.447

---

The following is a simulated powder X-ray diffraction pattern of Li2Cr2P3O12. It was derived from the GGA+U geometry in the Materials Project, using Cu Ka.
Peak positions follow from Bragg's law for the DFT cell and can differ from measured ones.

Most intense lines, 5 to 70 degrees two-theta, in order of rising 2θ:
hkl 1 1 -1, 2θ 14.4, d 6.141, I 26.2; hkl 2 0 -2, 2θ 20.4, d 4.345, I 27.5; hkl 1 1 1, 2θ 20.6, d 4.315, I 80.8; hkl 0 2 1, 2θ 24.1, d 3.698, I 100.0; hkl 3 1 0, 2θ 24.3, d 3.663, I 50.1; hkl 2 2 -2, 2θ 29.1, d 3.071, I 47.4; hkl 4 0 0, 2θ 29.5, d 3.031, I 17.2; hkl 5 1 -2, 2θ 32.0, d 2.799, I 20.0; hkl 3 1 -3, 2θ 32.6, d 2.745, I 25.7; hkl 3 3 -1, 2θ 35.9, d 2.500, I 27.4; hkl 1 3 -3, 2θ 46.8, d 1.941, I 18.7; hkl 4 4 -2, 2θ 49.3, d 1.849, I 18.5

Atomic structure:
Unit cell a=14.906 b=8.677 c=8.694 alpha=90.00 beta=125.57 gamma=90.00
Space group C2/c (No. 15)
Asymmetric unit:
1 Li 0.249 0.074 0.447
2 Cr 0.111 0.250 0.079
3 P 0.000 0.034 0.250
4 P 0.143 0.396 0.752
5 O 0.036 0.336 0.578
6 O 0.071 0.063 0.930
7 O 0.087 0.135 0.253
8 O 0.156 0.426 0.256
9 O 0.162 0.366 0.944
10 O 0.236 0.327 0.741

---

The following is a simulated powder X-ray diffraction pattern of LiCr2P2O8. It was derived from the GGA+U geometry in the Materials Project, using Cu Ka.
Peak positions follow from Bragg's law for the DFT cell and can differ from measured ones.

Most intense lines, 5 to 70 degrees two-theta, in order of rising 2θ:
hkl 0 0 1, 2θ 9.9, d 8.934, I 26.4; hkl 0 1 0, 2θ 14.6, d 6.051, I 100.0; hkl 0 1 -1, 2θ 19.8, d 4.479, I 18.3; hkl 0 1 2, 2θ 21.4, d 4.159, I 29.2; hkl 1 0 2, 2θ 24.9, d 3.571, I 27.5; hkl 0 2 2, 2θ 31.0, d 2.885, I 26.1; hkl 1 -1 2, 2θ 33.1, d 2.707, I 39.9; hkl 1 0 3, 2θ 33.3, d 2.691, I 15.3; hkl 2 1 1, 2θ 33.5, d 2.678, I 31.1; hkl 1 0 -3, 2θ 35.4, d 2.534, I 27.0; hkl 1 2 -1, 2θ 35.6, d 2.524, I 14.9; hkl 1 -3 0, 2θ 51.0, d 1.790, I 15.0

Atomic structure:
Unit cell a=5.534 b=6.409 c=9.339 alpha=73.56 beta=82.83 gamma=78.28
Space group P-1 (No. 2)
Asymmetric unit:
1 Li 0.183 0.382 0.383
2 Cr 0.132 0.051 0.712
3 Cr 0.315 0.164 0.083
4 P 0.195 0.710 0.050
5 P 0.315 0.839 0.424
6 O 0.059 0.206 0.874
7 O 0.121 0.690 0.421
8 O 0.172 0.764 0.879
9 O 0.190 0.063 0.312
10 O 0.272 0.463 0.123
11 O 0.311 0.866 0.581
12 O 0.391 0.835 0.079
13 O 0.417 0.239 0.631

---

- Which formula does entry 3 have?
  LiCr2P2O8